For PuI3, a PBE-relaxed structure gives the simulated powder XRD pattern in this record (Cu Kα).
Lines closer than 0.1° are merged.

Structural model:
abc: 4.245 15.804 10.011
angles: 90.00 90.00 90.00
Space group Cmcm (No. 63)
Symmetry-distinct sites (fractional):
Pu: 0.000 0.239 0.250 (multiplicity 4)
I: 0.000 0.158 0.569 (multiplicity 8)
I: 0.000 0.405 0.750 (multiplicity 4)

Peak list (10 most intense, 10 to 90 degrees two-theta, low angle first)
2θ (°)	d_spacing	Rel. int.
11.20	7.902	100
26.97	3.305	24
28.14	3.172	19
28.44	3.139	79
29.05	3.074	38
34.66	2.588	46
36.56	2.458	28
38.33	2.348	26
38.63	2.331	30
58.81	1.570	30